This entry pairs a crystal structure of Ba2UAgS5 with its computed PXRD pattern. Radiation: Cu Kα, 1.54184 Å. Structure: DFT lattice parameters and positions (GGA-PBE).

Cell and atoms:
```
data_Ba2UAgS5
_space_group_name_H-M_alt 'C m c 21'
_space_group_IT_number 36
_cell_length_a 4.1780
_cell_length_b 18.1741
_cell_length_c 12.9117
_cell_angle_alpha 90.00
_cell_angle_beta 90.00
_cell_angle_gamma 90.00
loop_
_space_group_symop_operation_xyz
'x,y,z'
'-x,-y,z+1/2'
'-x,y,z'
'x,-y,z+1/2'
'x+1/2,y+1/2,z'
'-x+1/2,-y+1/2,z+1/2'
'-x+1/2,y+1/2,z'
'x+1/2,-y+1/2,z+1/2'
loop_
_atom_site_label
_atom_site_type_symbol
_atom_site_fract_x
_atom_site_fract_y
_atom_site_fract_z
Ba1 Ba 0.0000 0.1067 0.0000
Ba2 Ba 0.0000 0.1211 0.6254
U1 U 0.0000 0.2061 0.3285
Ag1 Ag 0.0000 0.4375 0.7516
S1 S 0.0000 0.0689 0.3636
S2 S 0.0000 0.2852 0.9624
S3 S 0.0000 0.2976 0.6928
S4 S 0.0000 0.3477 0.3170
S5 S 0.0000 0.4980 0.0828
```

Top 10 peaks for 2θ = 5–70°, low angle first:
(hkl), Position (°2θ), I_rel
0 2 1, 11.91, 15.8
0 2 2, 16.85, 23.2
0 2 3, 22.87, 45.8
1 3 0, 25.89, 33.3
1 3 1, 26.83, 29.2
0 6 1, 30.25, 100.0
1 5 2, 35.56, 42.8
2 0 0, 43.33, 26.6
1 9 0, 50.13, 16.2
2 6 1, 53.78, 13.8